No. 1
# Cd3H2Pt7
Calculated powder XRD pattern, CuKα. Input: a structure optimized by DFT (PBE).

Cell and atoms:
```
Cd3H2Pt7
1.0
4.0980 0.0000 0.0000
-0.0069 4.1227 0.0000
-0.1135 -2.0613 10.3190
Cd H Pt
3 2 7
Cartesian
0.0000 0.0000 0.0000
-0.0424 -0.0055 4.0401
4.0200 2.0669 6.2789
1.5936 -0.3669 7.8647
2.3839 2.4283 2.4543
0.0119 2.0470 1.9921
1.9862 2.0408 4.1875
2.0192 0.0322 2.0313
2.0456 2.0614 0.0000
1.9584 2.0292 8.2877
1.9914 0.0206 6.1316
3.9657 0.0144 8.3269
```

The 10 most intense peaks (15 to 90 degrees two-theta), by angle:
d/Å, Position (°2θ), I (rel.)
2.385, 37.71, 100.0
2.367, 38.01, 98.7
2.063, 43.90, 65.7
2.049, 44.21, 32.5
1.458, 63.82, 21.2
1.454, 64.02, 10.8
1.452, 64.14, 10.7
1.247, 76.34, 12.1
1.241, 76.79, 19.0
1.240, 76.89, 18.4

---

No. 2
# Cd2H2Pt3
Calculated powder XRD pattern, CuKα. Input: a structure optimized by DFT (PBE).

Cell and atoms:
```
Cd2H2Pt3
1.0
4.9403 0.0000 0.0000
0.0000 2.9305 0.0000
-0.3156 0.0000 7.0544
Cd H Pt
2 2 3
Cartesian
0.8992 0.0000 1.3447
3.7254 0.0000 5.7097
1.4187 1.4652 4.2653
3.2060 1.4652 2.7891
-0.1578 1.4652 3.5272
1.3075 1.4652 5.9700
3.3172 1.4652 1.0844
```

The 10 most intense peaks (15 to 90 degrees two-theta), by angle:
d/Å, Position (°2θ), I (rel.)
4.132, 21.51, 36.5
2.930, 30.50, 16.4
2.811, 31.84, 16.3
2.390, 37.63, 100.0
2.352, 38.27, 48.9
2.297, 39.21, 42.0
2.066, 43.82, 31.0
2.029, 44.67, 58.2
1.461, 63.72, 18.9
1.435, 65.01, 18.6

---

No. 3
# PuCdH8Pt2
Calculated powder XRD pattern, CuKα. Input: a structure optimized by DFT (PBE).

Cell and atoms:
```
PuCdH8Pt2
1.0
2.4523 1.4158 5.9029
-2.4523 1.4158 5.9029
0.0000 -2.8316 5.9029
Pu Cd H Pt
1 1 8 2
Cartesian
0.0000 0.0000 0.0000
0.0000 0.0000 8.8544
-0.7743 -1.5878 7.6595
-1.7622 -0.1233 10.0493
0.0000 0.0000 5.8359
-0.9879 1.4645 7.6595
0.9879 -1.4645 10.0493
0.0000 0.0000 11.8729
1.7623 0.1233 7.6595
0.7743 1.5878 10.0493
0.0000 0.0000 4.2287
0.0000 0.0000 13.4801
```

The 10 most intense peaks (15 to 90 degrees two-theta), by angle:
d/Å, Position (°2θ), I (rel.)
3.065, 29.14, 100.0
2.452, 36.65, 57.4
1.963, 46.25, 25.3
1.915, 47.48, 26.7
1.533, 60.37, 17.9
1.509, 61.43, 24.9
1.416, 65.98, 10.6
1.300, 72.77, 13.3
1.264, 75.13, 9.8
1.138, 85.25, 10.3

---

No. 4
# Pu2CdH
Calculated powder XRD pattern, CuKα. Input: a structure optimized by DFT (PBE).

Cell and atoms:
```
Pu2CdH
1.0
3.7384 0.0000 0.0000
-1.8692 3.2376 0.0000
0.0000 0.0000 17.3732
Pu Cd H
6 3 3
Cartesian
0.0000 0.0000 3.4174
0.0000 0.0000 13.9558
0.0000 2.1584 8.1647
0.0000 2.1584 14.9995
1.8692 1.0792 2.3737
1.8692 1.0792 9.2084
0.0000 0.0000 0.0000
0.0000 2.1584 11.5821
1.8692 1.0792 5.7911
0.0000 0.0000 8.6866
0.0000 2.1584 2.8955
1.8692 1.0792 14.4776
```

The 10 most intense peaks (15 to 90 degrees two-theta), by angle:
d/Å, Position (°2θ), I (rel.)
5.791, 15.30, 69.6
3.183, 28.03, 47.3
3.034, 29.44, 35.9
2.596, 34.55, 19.3
2.369, 37.99, 100.0
1.869, 48.72, 50.6
1.779, 51.36, 20.9
1.531, 60.48, 25.7
1.467, 63.39, 22.8
1.154, 83.81, 21.6

---

No. 5
# Rb4CdH6
Calculated powder XRD pattern, CuKα. Input: a structure optimized by DFT (PBE).

Cell and atoms:
```
Rb4CdH6
1.0
6.9352 -3.6489 0.0000
6.9352 3.6489 0.0000
-5.9353 0.0000 12.1823
Rb Cd H
8 2 12
Cartesian
-1.8297 0.9280 9.9914
3.9676 2.7216 6.0912
4.4912 1.5106 1.9638
1.1380 -0.9280 3.9002
9.1056 0.9391 0.1117
1.5236 -1.5106 8.0549
6.1379 -0.9391 6.2029
6.9352 -2.7216 0.0000
1.6391 1.9727 9.1427
4.6067 -1.9727 3.0515
1.6233 1.5195 7.3317
7.0674 2.2119 1.3975
3.3345 2.3609 9.7196
1.0378 0.4552 10.0830
6.5890 1.7952 6.0303
4.0055 -0.4552 3.9919
4.5909 -1.5195 1.2405
10.3363 0.2956 3.3557
4.0997 -2.2119 7.4887
7.3686 -0.2956 9.4469
6.3022 -2.3609 3.6284
3.6213 -1.7952 12.1215
```

The 10 most intense peaks (15 to 90 degrees two-theta), by angle:
d/Å, Position (°2θ), I (rel.)
5.811, 15.25, 33.6
3.890, 22.86, 41.9
3.811, 23.34, 81.0
3.633, 24.50, 45.7
3.495, 25.48, 61.9
3.422, 26.04, 50.1
3.382, 26.35, 43.3
3.150, 28.33, 50.3
3.115, 28.66, 100.0
2.901, 30.82, 49.9

---

No. 6
# Rb2Cd4H
Calculated powder XRD pattern, CuKα. Input: a structure optimized by DFT (PBE).

Cell and atoms:
```
Rb2Cd4H
1.0
5.2744 0.0000 0.0000
0.0000 5.2744 0.0000
0.0000 0.0000 17.7991
Rb Cd H
4 8 2
Cartesian
0.0000 0.0000 2.9910
0.0000 0.0000 14.8081
2.6372 2.6372 5.9085
2.6372 2.6372 11.8905
0.0000 0.0000 6.8751
0.0000 0.0000 10.9240
0.0000 2.6372 0.0000
0.0000 2.6372 8.8995
2.6372 0.0000 0.0000
2.6372 0.0000 8.8995
2.6372 2.6372 2.0244
2.6372 2.6372 15.7747
0.0000 0.0000 8.8995
2.6372 2.6372 0.0000
```

The 10 most intense peaks (15 to 90 degrees two-theta), by angle:
d/Å, Position (°2θ), I (rel.)
5.057, 17.54, 11.9
3.440, 25.90, 47.1
2.951, 30.29, 34.9
2.858, 31.29, 100.0
2.637, 33.99, 57.2
1.966, 46.17, 21.3
1.865, 48.84, 19.9
1.852, 49.20, 15.6
1.562, 59.16, 30.7
1.515, 61.15, 15.9

---

No. 7
# Rb2CdH5
Calculated powder XRD pattern, CuKα. Input: a structure optimized by DFT (PBE).

Cell and atoms:
```
Rb2CdH5
1.0
2.2805 -6.5258 0.0000
2.2805 6.5258 0.0000
0.0000 0.0000 11.5762
Rb Cd H
4 2 10
Cartesian
2.2805 4.6687 6.7501
2.2805 4.6687 10.6142
2.2805 -4.6687 0.9620
2.2805 -4.6687 4.8261
2.2805 4.4008 2.8941
2.2805 -4.4008 8.6822
2.2805 5.7303 1.6044
2.2805 5.7303 4.1837
2.2805 3.1247 1.5135
2.2805 3.1247 4.2746
2.2805 2.4027 8.6822
2.2805 -2.4027 2.8941
2.2805 -3.1247 7.3016
2.2805 -3.1247 10.0627
2.2805 -5.7303 7.3925
2.2805 -5.7303 9.9718
```

The 10 most intense peaks (15 to 90 degrees two-theta), by angle:
d/Å, Position (°2θ), I (rel.)
4.306, 20.63, 75.5
3.322, 26.84, 100.0
3.263, 27.33, 31.5
3.148, 28.35, 87.0
2.874, 31.12, 96.6
2.492, 36.05, 17.7
2.281, 39.52, 20.6
1.954, 46.48, 44.6
1.880, 48.42, 38.2
1.645, 55.89, 24.2

---

No. 8
# Rb2CdH6Rh
Calculated powder XRD pattern, CuKα. Input: a structure optimized by DFT (PBE).

Cell and atoms:
```
Rb2CdH6Rh
1.0
6.1371 0.0000 0.0000
-3.0686 5.3149 0.0000
0.0000 0.0000 5.2422
Rb Cd H Rh
2 1 6 1
Cartesian
0.0000 3.5433 1.1329
3.0686 1.7716 4.1093
0.0000 0.0000 2.6211
0.0000 1.4265 4.2719
-1.8332 4.6017 4.2719
1.2354 0.7133 0.9703
1.8332 4.6017 4.2719
4.9017 0.7133 0.9703
3.0686 3.8884 0.9703
0.0000 0.0000 0.0000
```

The 10 most intense peaks (15 to 90 degrees two-theta), by angle:
d/Å, Position (°2θ), I (rel.)
5.315, 16.68, 48.9
3.732, 23.84, 46.8
3.069, 29.10, 100.0
2.370, 37.96, 15.1
2.351, 38.29, 56.7
1.876, 48.53, 13.1
1.866, 48.80, 28.6
1.772, 51.59, 19.5
1.594, 57.83, 33.6
1.285, 73.74, 16.0

---

No. 9
# RbCdSbH
Calculated powder XRD pattern, CuKα. Input: a structure optimized by DFT (PBE).

Cell and atoms:
```
RbCdSbH
1.0
5.3461 0.0000 0.0000
0.0000 5.5819 0.0000
0.0000 0.0000 14.1393
Rb Cd Sb H
4 4 4 4
Cartesian
0.0000 0.0000 0.0000
0.0000 2.7910 7.0697
2.6731 0.0000 7.0697
2.6731 2.7910 0.0000
0.0000 0.0000 9.9626
0.0000 2.7910 2.8930
2.6731 0.0000 2.8930
2.6731 2.7910 9.9626
0.0000 0.0000 4.2311
0.0000 2.7910 11.3007
2.6731 0.0000 11.3007
2.6731 2.7910 4.2311
0.0000 0.0000 8.1297
0.0000 2.7910 1.0601
2.6731 0.0000 1.0601
2.6731 2.7910 8.1297
```

The 10 most intense peaks (15 to 90 degrees two-theta), by angle:
d/Å, Position (°2θ), I (rel.)
3.535, 25.19, 16.1
2.987, 29.92, 100.0
2.791, 32.07, 29.9
2.673, 33.52, 26.6
2.281, 39.50, 14.1
1.930, 47.07, 20.0
1.790, 51.03, 25.7
1.647, 55.84, 16.5
1.597, 57.72, 14.9
1.326, 71.11, 9.3

---

No. 10
# Cd3H4Rh4
Calculated powder XRD pattern, CuKα. Input: a structure optimized by DFT (PBE).

Cell and atoms:
```
Cd3H4Rh4
1.0
3.0603 0.0000 0.0000
-0.0023 4.5020 0.0000
-1.4869 -2.2467 9.5676
Cd H Rh
3 4 4
Cartesian
0.0000 0.0000 0.0000
0.0314 2.2613 6.8613
1.5397 -0.0061 2.7064
0.0214 2.2351 3.5407
0.0360 0.0496 8.6186
1.5352 2.2056 0.9490
1.5498 0.0201 6.0269
0.0035 2.2461 1.6836
0.0206 0.0041 5.1285
1.5505 2.2512 4.4391
1.5677 0.0091 7.8841
```

The 10 most intense peaks (15 to 90 degrees two-theta), by angle:
d/Å, Position (°2θ), I (rel.)
2.764, 32.39, 25.3
2.754, 32.51, 25.1
2.337, 38.53, 100.0
2.251, 40.06, 62.3
2.240, 40.25, 85.0
2.234, 40.38, 84.3
1.745, 52.44, 18.9
1.530, 60.51, 18.0
1.297, 72.92, 20.8
1.265, 75.06, 18.4

---

No. 11
# CdH2Rh
Calculated powder XRD pattern, CuKα. Input: a structure optimized by DFT (PBE).

Cell and atoms:
```
CdH2Rh
1.0
3.1358 0.0000 0.0000
0.0000 10.8061 0.0000
0.0000 0.0000 4.9712
Cd H Rh
4 8 4
Cartesian
0.0000 0.6971 1.2428
0.0000 10.1089 3.7284
1.5679 4.7059 3.7284
1.5679 6.1001 1.2428
0.0000 3.3989 0.2344
0.0000 3.3989 2.2512
0.0000 7.4071 2.7200
0.0000 7.4071 4.7368
1.5679 2.0041 2.7200
1.5679 2.0041 4.7368
1.5679 8.8020 0.2344
1.5679 8.8020 2.2512
0.0000 2.2099 3.7284
0.0000 8.5962 1.2428
1.5679 3.1932 1.2428
1.5679 7.6129 3.7284
```

The 10 most intense peaks (15 to 90 degrees two-theta), by angle:
d/Å, Position (°2θ), I (rel.)
3.012, 29.66, 77.2
2.576, 34.83, 17.1
2.486, 36.14, 59.9
2.374, 37.90, 98.7
2.136, 42.32, 100.0
1.917, 47.43, 42.2
1.413, 66.16, 17.9
1.357, 69.23, 22.7
1.308, 72.21, 27.9
1.210, 79.17, 20.5

---

No. 12
# Cd5HRh2
Calculated powder XRD pattern, CuKα. Input: a structure optimized by DFT (PBE).

Cell and atoms:
```
Cd5HRh2
1.0
1.5075 -4.8743 0.0000
1.5075 4.8743 0.0000
0.0000 0.0000 18.3605
Cd H Rh
10 2 4
Cartesian
1.5075 4.5014 13.7704
1.5075 3.5678 0.8212
1.5075 3.5678 8.3590
1.5075 0.9492 2.0707
1.5075 0.9492 7.1095
1.5075 -0.9492 11.2509
1.5075 -0.9492 16.2898
1.5075 -3.5678 10.0015
1.5075 -3.5678 17.5392
1.5075 -4.5014 4.5901
1.5075 2.9128 4.5901
1.5075 -2.9128 13.7704
1.5075 1.7933 12.4295
1.5075 1.7933 15.1112
1.5075 -1.7933 3.2493
1.5075 -1.7933 5.9309
```

The 10 most intense peaks (15 to 90 degrees two-theta), by angle:
d/Å, Position (°2θ), I (rel.)
2.606, 34.41, 63.5
2.592, 34.61, 23.7
2.439, 36.85, 100.0
2.416, 37.22, 43.1
2.310, 39.00, 95.8
2.266, 39.77, 22.3
2.149, 42.04, 53.7
2.078, 43.55, 59.6
1.333, 70.69, 22.8
1.262, 75.30, 39.9